Na5MoNO4: computed PXRD pattern (Cu Kα (λ = 1.5418 Å)), based on DFT lattice parameters and positions (PBE+U).
Peak positions follow from Bragg's law for the DFT cell and can differ from measured ones.

Atomic structure:
a b c (Å): 9.9519 5.8451 10.8364
angles (deg): 90.00 90.00 90.00
Space group Cmcm (No. 63)
Unique sites:
Na 0.0000 0.0000 0.0000 [4 per cell]
Na 0.1875 0.1433 0.2500 [8 per cell]
Na 0.1915 0.5000 0.0000 [8 per cell]
Mo 0.0000 0.2929 0.7500 [4 per cell]
N 0.0000 0.4066 0.2500 [4 per cell]
O 0.1377 0.1970 0.6271 [16 per cell]

Largest 6 diffraction maxima, in order of falling intensity, 10 to 90 degrees two-theta:
2θ = 19.42°, rel. 100, (1 1 1); 2θ = 35.24°, rel. 37, (3 1 2); 2θ = 40.00°, rel. 36, (3 1 3); 2θ = 16.36°, rel. 29, (0 0 2); 2θ = 34.88°, rel. 29, (0 2 2); 2θ = 24.29°, rel. 22, (2 0 2)